# Pm3Mg3Zn2
Computed PXRD pattern, CuKα. Input: a DFT-relaxed cell (GGA-PBE, Alexandria).
Kinematic intensities with the Lorentz-polarization factor, no thermal factor.

Most intense lines, 10 to 90 degrees two-theta, by angle:
d 4.409, 20.14°, rel. 15, (1 0 1); d 4.230, 21.00°, rel. 17, (0 1 2); d 3.684, 24.16°, rel. 41, (1 0 4); d 2.628, 34.12°, rel. 100, (0 1 8); d 2.583, 34.73°, rel. 98, (1 1 0); d 1.842, 49.48°, rel. 35, (2 0 8); d 1.526, 60.68°, rel. 17, (1 0 16); d 1.500, 61.86°, rel. 35, (1 2 8); d 1.491, 62.26°, rel. 20, (3 0 0); d 1.159, 83.38°, rel. 15, (3 1 8)

Atomic structure:
Cell lengths 5.1663, 5.1663, 25.9764 Å; angles 90.00, 90.00, 120.00 degrees
Space group R3m (No. 160, hexagonal axes)
Inequivalent atoms, fractional coordinates:
Pm (0.0000, 0.0000, 0.0000) [3 per cell]
Pm (0.0000, 0.0000, 0.2436) [3 per cell]
Pm (0.0000, 0.0000, 0.7532) [3 per cell]
Mg (0.0000, 0.0000, 0.1248) [3 per cell]
Mg (0.0000, 0.0000, 0.4982) [3 per cell]
Mg (0.0000, 0.0000, 0.6215) [3 per cell]
Zn (0.0000, 0.0000, 0.3758) [3 per cell]
Zn (0.0000, 0.0000, 0.8743) [3 per cell]